Diffraction record for Tb5SnBi5. The powder diffractogram is computed, not measured: it uses a crystal structure in Alexandria, relaxed with PBE and Cu Kα, 1.54184 Å.
Lines closer than 0.1° are merged.

Peak list (10 most intense, 2θ from 10° to 90°, by angle)
Position (°2θ)  I_rel
28.33  51
28.55  100
40.42  19
40.66  40
40.83  57
50.23  21
50.62  21
66.47  13
66.81  14
66.91  17

Lattice parameters (Å, degrees): 7.7249 7.7249 8.8315 106.97 106.97 47.74
Atoms (fractional coordinates):
Tb 0.0000 0.0000 0.0000
Tb 0.3291 0.3291 0.1611
Tb 0.3325 0.3325 0.6691
Tb 0.6675 0.6675 0.3309
Tb 0.6709 0.6709 0.8389
Sn 0.5000 0.5000 0.0000
Bi 0.1548 0.1548 0.8112
Bi 0.1608 0.1608 0.3410
Bi 0.5000 0.5000 0.5000
Bi 0.8392 0.8392 0.6590
Bi 0.8452 0.8452 0.1888